(1)
Calculated powder diffractogram of Nd12CdIn4N3 for CuKα, from a crystal structure in Alexandria, relaxed with GGA-PBE.
Intensities are scaled so that the largest is 100.

Most intense lines, 10° ≤ 2θ ≤ 90°, low angle first:
2θ = 29.73°, I 100, (2 2 2)
2θ = 34.46°, I 67, (4 0 0)
2θ = 49.53°, I 45, (4 4 0)
2θ = 58.84°, I 39, (6 2 2)
2θ = 61.74°, I 14, (4 4 4)
2θ = 72.66°, I 6, (8 0 0)
2θ = 80.42°, I 14, (6 6 2)
2θ = 82.96°, I 17, (8 4 0)

Structure:
a = 10.4102 Å, b = 10.4102 Å, c = 10.4102 Å
α = 90.00°, β = 90.00°, γ = 90.00°
Space group Im-3m (No. 229)
One atom of each set of equivalent atoms:
Nd 0.0000 0.0000 0.2763 x12
Nd 0.0000 0.2500 0.5000 x12
Cd 0.0000 0.0000 0.0000 x2
In 0.2500 0.2500 0.2500 x8
N 0.0000 0.0000 0.5000 x6

(2)
Calculated powder diffractogram of Er5Th4 for CuKα, from a crystal structure in Alexandria, relaxed with GGA-PBE.
Intensities are scaled so that the largest is 100.

Most intense lines, 10° ≤ 2θ ≤ 90°, low angle first:
2θ = 30.90°, I 100, (3 0 1)
2θ = 35.83°, I 51, (3 3 0)
2θ = 51.58°, I 37, (6 0 0)
2θ = 61.35°, I 44, (3 0 3)
2θ = 64.40°, I 13, (6 0 2)
2θ = 84.21°, I 18, (6 3 3)
2θ = 86.85°, I 6, (3 3 4)
2θ = 86.97°, I 11, (9 3 0)

Structure:
a = 10.6263 Å, b = 10.6263 Å, c = 5.0171 Å
α = 90.00°, β = 90.00°, γ = 90.00°
Space group I4/mmm (No. 139)
One atom of each set of equivalent atoms:
Er 0.0000 0.0000 0.0000 x2
Er 0.0000 0.3300 0.0000 x8
Th 0.1658 0.1658 0.5000 x8

(3)
Calculated powder diffractogram of KPrMgI6 for CuKα, from a crystal structure in Alexandria, relaxed with GGA-PBE.
Intensities are scaled so that the largest is 100.

Most intense lines, 10° ≤ 2θ ≤ 90°, low angle first:
2θ = 11.36°, I 16, (0 0 2)
2θ = 17.25°, I 13, (1 0 2)
2θ = 22.84°, I 15, (0 0 4)
2θ = 25.28°, I 100, (1 1 2)
2θ = 32.28°, I 47, (1 1 4)
2θ = 36.61°, I 12, (2 1 2)
2θ = 39.51°, I 28, (3 0 0)
2θ = 41.63°, I 27, (2 -1 6)

Structure:
a = 7.9018 Å, b = 7.9018 Å, c = 15.5751 Å
α = 90.00°, β = 90.00°, γ = 120.00°
Space group P-31c (No. 163)
One atom of each set of equivalent atoms:
K 0.0000 0.0000 0.0000 x2
Pr 0.3333 0.6667 0.2500 x2
Mg 0.3333 0.6667 0.7500 x2
I 0.0187 0.3777 0.6373 x12

(4)
Calculated powder diffractogram of RbIn4Ga2 for CuKα, from a crystal structure in Alexandria, relaxed with GGA-PBE.
Intensities are scaled so that the largest is 100.

Most intense lines, 10° ≤ 2θ ≤ 90°, low angle first:
2θ = 10.87°, I 22, (0 2 0)
2θ = 30.57°, I 100, (1 3 1)
2θ = 33.05°, I 14, (0 6 0)
2θ = 36.26°, I 28, (0 0 2)
2θ = 36.97°, I 26, (2 0 0)
2θ = 37.88°, I 44, (1 5 1)
2θ = 52.75°, I 18, (2 0 2)
2θ = 61.73°, I 13, (1 3 3)

Structure:
a = 4.8635 Å, b = 16.2831 Å, c = 4.9543 Å
α = 90.00°, β = 90.00°, γ = 90.00°
Space group Cmmm (No. 65)
One atom of each set of equivalent atoms:
Rb 0.0000 0.0000 0.0000 x2
In 0.0000 0.1815 0.5000 x4
In 0.0000 0.3165 0.0000 x4
Ga 0.0000 0.4154 0.5000 x4

(5)
Calculated powder diffractogram of SrLiGe2Au for CuKα, from a crystal structure in Alexandria, relaxed with GGA-PBE.
Intensities are scaled so that the largest is 100.

Most intense lines, 10° ≤ 2θ ≤ 90°, low angle first:
2θ = 21.74°, I 100, (1 0 1)
2θ = 31.89°, I 69, (1 0 3)
2θ = 33.10°, I 92, (1 1 2)
2θ = 40.95°, I 52, (2 0 0)
2θ = 44.10°, I 29, (1 1 4)
2θ = 46.40°, I 32, (1 0 5)
2θ = 46.84°, I 28, (2 1 1)
2θ = 52.82°, I 33, (2 1 3)

Structure:
a = 4.4075 Å, b = 4.4075 Å, c = 10.9198 Å
α = 90.00°, β = 90.00°, γ = 90.00°
Space group I-4m2 (No. 119)
One atom of each set of equivalent atoms:
Sr 0.0000 0.0000 0.0000 x2
Li 0.0000 0.5000 0.2500 x2
Ge 0.0000 0.0000 0.3861 x4
Au 0.0000 0.5000 0.7500 x2

(6)
Calculated powder diffractogram of Mg3H5Ir for CuKα, from a crystal structure in Alexandria, relaxed with GGA-PBE.
Intensities are scaled so that the largest is 100.

Most intense lines, 10° ≤ 2θ ≤ 90°, low angle first:
2θ = 13.50°, I 100, (0 0 1)
2θ = 20.39°, I 37, (0 1 0)
2θ = 20.61°, I 44, (0 1 -1)
2θ = 27.19°, I 22, (0 0 2)
2θ = 35.92°, I 27, (1 0 1)
2θ = 37.89°, I 31, (1 1 0)
2θ = 38.13°, I 26, (1 -1 1)
2θ = 39.26°, I 24, (0 2 -1)

Structure:
a = 3.0467 Å, b = 4.5905 Å, c = 7.0805 Å
α = 107.99°, β = 102.42°, γ = 90.00°
Space group P1 (No. 1)
One atom of each set of equivalent atoms:
Mg 0.0000 0.0000 0.0000 x1
Mg 0.1656 0.7168 0.3248 x1
Mg 0.3471 0.4161 0.6921 x1
H 0.3974 0.9122 0.7941 x1
H 0.5760 0.3656 0.1488 x1
H 0.7646 0.0499 0.5253 x1
H 0.7670 0.5806 0.5307 x1
H 0.9478 0.4844 0.8937 x1
Ir 0.6744 0.2237 0.3453 x1